Diffraction record for Ti20Se19. The XRD peak list is simulated, not measured: it uses a GGA-PBE-relaxed structure and λ = 1.5418 Å (Cu Kα).

Peak list (10 most intense, 2θ from 10° to 90°, by angle)
hkl	two_theta	I (rel.)
-1 2 3	31.8	51
2 -1 2	32.8	100
2 2 0	40.1	38
-3 3 1	40.9	75
0 4 -1	41.5	12
1 1 5	51.4	35
4 -1 0	52.0	19
2 -4 4	53.4	22
4 -2 4	68.8	14
-2 2 9	81.0	12

Cell and atoms:
a b c (Å): 7.3491 9.2727 11.3237
angles (deg): 94.49 103.02 110.23
Space group P1 (No. 1)
Unique sites:
Ti 0.0000 0.0000 0.0000
Ti 0.0363 0.5629 0.5420
Ti 0.0877 0.8991 0.6001
Ti 0.1356 0.4649 0.1472
Ti 0.2001 0.8027 0.1996
Ti 0.2426 0.3679 0.7444
Ti 0.2887 0.6968 0.8017
Ti 0.3319 0.2676 0.3443
Ti 0.3963 0.5965 0.3977
Ti 0.4440 0.1688 0.9440
Ti 0.4897 0.4979 0.0033
Ti 0.5296 0.0653 0.5446
Ti 0.5985 0.4002 0.5977
Ti 0.6439 0.9708 0.1448
Ti 0.6850 0.3006 0.2018
Ti 0.7310 0.8647 0.7441
Ti 0.7984 0.2019 0.7982
Ti 0.8427 0.7697 0.3430
Ti 0.8869 0.0987 0.4034
Ti 0.9336 0.6654 0.9471
Se 0.0121 0.9958 0.2359
Se 0.0734 0.0866 0.7964
Se 0.1193 0.4728 0.9117
Se 0.2082 0.7864 0.4334
Se 0.2530 0.1822 0.5447
Se 0.2754 0.8876 0.9964
Se 0.3190 0.2733 0.1110
Se 0.4055 0.5887 0.6311
Se 0.4561 0.9791 0.7475
Se 0.4752 0.6875 0.1967
Se 0.5202 0.0765 0.3117
Se 0.6118 0.3938 0.8341
Se 0.6574 0.7793 0.9486
Se 0.6789 0.4844 0.3945
Se 0.7176 0.8724 0.5089
Se 0.8132 0.1947 0.0364
Se 0.8614 0.5770 0.1515
Se 0.8751 0.2863 0.5927
Se 0.9200 0.6729 0.7095